# Sr2NdMn3O9
Simulated X-ray diffraction stick pattern, Cu Kα (weighted mean of Kα1 and Kα2). Input: a crystal structure in Alexandria, relaxed with GGA+U.

Most intense lines, 2θ = 15–90°, most intense first:
(1 1 -4), 2θ 32.5, I = 100
(3 1 0), 2θ 32.3, I = 99
(2 2 4), 2θ 47.1, I = 65
(2 0 4), 2θ 32.9, I = 53
(0 2 0), 2θ 32.7, I = 52
(5 1 4), 2θ 58.3, I = 41

Cell and atoms:
abc: 9.6550 5.4732 13.3852
angles: 90.00 91.32 90.00
Space group C2/c (No. 15)
Symmetry-distinct sites (fractional):
Sr (0.1674, 0.0037, 0.4167) x8
Nd (0.0000, 0.4993, 0.2500) x4
Mn (0.0000, 0.5000, 0.0000) x4
Mn (0.1665, 0.0018, 0.1660) x8
O (0.0000, 0.0440, 0.2500) x4
O (0.0625, 0.2136, 0.5770) x8
O (0.1000, 0.2960, 0.0976) x8
O (0.1639, 0.4795, 0.4122) x8
O (0.2209, 0.2897, 0.7427) x8